This entry pairs a crystal structure of FeCuW with its calculated powder X-ray diffraction pattern. Radiation: λ = 1.5418 Å (Cu Kα). Structure: a cell relaxed with GGA-PBE.
Lines closer than 0.1° are merged.

Structure:
```
data_FeCuW
_cell_length_a 2.625
_cell_length_b 2.625
_cell_length_c 11.692
_cell_angle_alpha 90.00
_cell_angle_beta 90.00
_cell_angle_gamma 90.00
_space_group_name_H-M_alt 'I 4 m m'
_space_group_IT_number 107
_space_group_name_Hall 'I 4 -2'
loop_
_atom_site_label
_atom_site_fract_x
_atom_site_fract_y
_atom_site_fract_z
Fe1 0.000 0.000 0.000
Cu1 0.000 0.000 0.347
W1 0.000 0.000 0.675
```

Largest 6 diffraction maxima, by angle, 2θ = 10–90°:
| two_theta | I/Imax |
| --- | --- |
| 15.16 | 36 |
| 35.03 | 25 |
| 41.47 | 100 |
| 49.07 | 31 |
| 70.00 | 20 |
| 86.59 | 23 |